Diffraction record for BaMnSe2O8. The powder XRD pattern is simulated, not measured: it uses a cell relaxed with PBE+U and Cu Kα, 1.54184 Å.
Peak positions follow from Bragg's law for the DFT cell and can differ from measured ones.

Main lines, in order of rising 2θ (10° ≤ 2θ ≤ 80°):
25.0°, d 3.556, rel. 100.0; 34.6°, d 2.591, rel. 45.1; 36.5°, d 2.459, rel. 10.7; 36.8°, d 2.444, rel. 27.7; 43.2°, d 2.094, rel. 19.9; 51.4°, d 1.778, rel. 10.6; 56.5°, d 1.629, rel. 18.8; 59.5°, d 1.554, rel. 18.1; 62.0°, d 1.496, rel. 12.3; 63.4°, d 1.466, rel. 11.2

Structural model:
```
data_BaMnSe2O8
_cell_length_a 8.3250
_cell_length_b 8.3250
_cell_length_c 8.3250
_cell_angle_alpha 36.28
_cell_angle_beta 36.28
_cell_angle_gamma 36.28
_symmetry_space_group_name_H-M 'P 1'
_symmetry_Int_Tables_number 1
_symmetry_space_group_name_Hall 'P 1'
loop_
_atom_site_label
_atom_site_type_symbol
_atom_site_fract_x
_atom_site_fract_y
_atom_site_fract_z
_atom_site_occupancy
Ba1 Ba 0.0000 0.0000 0.0000 1
Mn1 Mn 0.5000 0.5000 0.5000 1
Se1 Se 0.2440 0.2440 0.2440 1
Se2 Se 0.7560 0.7560 0.7560 1
O1 O 0.0896 0.4689 0.7705 1
O2 O 0.2295 0.9104 0.5311 1
O3 O 0.3162 0.3162 0.3162 1
O4 O 0.4689 0.7705 0.0896 1
O5 O 0.5311 0.2295 0.9104 1
O6 O 0.6838 0.6838 0.6838 1
O7 O 0.7705 0.0896 0.4689 1
O8 O 0.9104 0.5311 0.2295 1
```